Record 1
The following is a computed PXRD pattern of CaNd4Y6. It was derived from a DFT-relaxed cell (GGA-PBE, Alexandria), using λ = 1.5418 Å (Cu Kα).
Intensities are scaled so that the largest is 100.

Crystal structure
Cell: 8.653 8.653 8.653 Å, 126.09 126.09 79.74°
Sites, in units of the cell vectors:
Ca 0.000 0.000 0.000
Nd 0.055 0.566 0.000
Nd 0.434 0.434 0.489
Nd 0.566 0.055 0.000
Nd 0.945 0.945 0.511
Y 0.000 0.500 0.500
Y 0.262 0.262 0.683
Y 0.421 0.738 0.000
Y 0.500 0.000 0.500
Y 0.579 0.579 0.317
Y 0.738 0.421 0.000

Largest 10 diffraction maxima, in order of rising 2θ, 10 to 80 degrees two-theta:
- 22.67°, I 41
- 26.27°, I 19
- 26.39°, I 71
- 31.40°, I 100
- 32.28°, I 50
- 32.57°, I 19
- 35.01°, I 22
- 38.75°, I 41
- 45.65°, I 30
- 54.07°, I 32

=====

Record 2
The following is a computed PXRD pattern of Sm4BiSbC. It was derived from a DFT-relaxed cell (GGA-PBE, Alexandria), using λ = 1.5418 Å (Cu Kα).
Intensities are scaled so that the largest is 100.

Crystal structure
Cell: 8.832 8.832 7.013 Å, 90.00 90.00 133.27°
Sites, in units of the cell vectors:
Sm 0.000 0.500 0.000
Sm 0.000 0.500 0.500
Sm 0.092 0.908 0.750
Sm 0.405 0.595 0.750
Sm 0.500 0.000 0.000
Sm 0.500 0.000 0.500
Sm 0.595 0.405 0.250
Sm 0.908 0.092 0.250
Bi 0.394 0.606 0.250
Bi 0.606 0.394 0.750
Sb 0.110 0.890 0.250
Sb 0.890 0.110 0.750
C 0.249 0.751 0.750
C 0.751 0.249 0.250

Largest 10 diffraction maxima, in order of rising 2θ, 10 to 80 degrees two-theta:
- 25.41°, I 19
- 27.73°, I 60
- 33.15°, I 26
- 33.81°, I 100
- 36.25°, I 58
- 49.93°, I 33
- 58.88°, I 12
- 60.13°, I 14
- 63.19°, I 28
- 63.65°, I 33

=====

Record 3
The following is a computed PXRD pattern of La2Pm5Dy2. It was derived from a DFT-relaxed cell (GGA-PBE, Alexandria), using λ = 1.5418 Å (Cu Kα).
Intensities are scaled so that the largest is 100.

Crystal structure
Cell: 3.648 9.643 9.665 Å, 69.18 79.14 79.24°
Sites, in units of the cell vectors:
La 0.166 0.001 0.168
La 0.834 0.999 0.832
Pm 0.277 0.337 0.608
Pm 0.391 0.661 0.056
Pm 0.500 0.000 0.500
Pm 0.609 0.339 0.944
Pm 0.723 0.663 0.392
Dy 0.056 0.666 0.722
Dy 0.944 0.334 0.278

Largest 10 diffraction maxima, in order of rising 2θ, 10 to 80 degrees two-theta:
- 29.98°, I 100
- 34.72°, I 34
- 34.83°, I 17
- 49.93°, I 18
- 50.02°, I 18
- 59.34°, I 29
- 59.46°, I 11
- 62.28°, I 6
- 62.34°, I 6
- 73.28°, I 4

=====

Copy entry 2 word for word.
The following is a computed PXRD pattern of Sm4BiSbC. It was derived from a DFT-relaxed cell (GGA-PBE, Alexandria), using λ = 1.5418 Å (Cu Kα).
Intensities are scaled so that the largest is 100.

Crystal structure
Cell: 8.832 8.832 7.013 Å, 90.00 90.00 133.27°
Sites, in units of the cell vectors:
Sm 0.000 0.500 0.000
Sm 0.000 0.500 0.500
Sm 0.092 0.908 0.750
Sm 0.405 0.595 0.750
Sm 0.500 0.000 0.000
Sm 0.500 0.000 0.500
Sm 0.595 0.405 0.250
Sm 0.908 0.092 0.250
Bi 0.394 0.606 0.250
Bi 0.606 0.394 0.750
Sb 0.110 0.890 0.250
Sb 0.890 0.110 0.750
C 0.249 0.751 0.750
C 0.751 0.249 0.250

Largest 10 diffraction maxima, in order of rising 2θ, 10 to 80 degrees two-theta:
- 25.41°, I 19
- 27.73°, I 60
- 33.15°, I 26
- 33.81°, I 100
- 36.25°, I 58
- 49.93°, I 33
- 58.88°, I 12
- 60.13°, I 14
- 63.19°, I 28
- 63.65°, I 33